# 1
Structure and calculated X-ray diffraction stick pattern of Ca3Fe (the PBE geometry in Alexandria; CuKα).

Structure:
```
Ca3Fe
1.0
7.9726 0.0000 0.0000
0.0000 9.6596 0.0000
0.0000 0.0000 6.5013
Ca Fe
12 4
direct
0.0373 0.2500 0.1254 Ca
0.1749 0.0609 0.6511 Ca
0.1749 0.4391 0.6511 Ca
0.3251 0.5609 0.1511 Ca
0.3251 0.9391 0.1511 Ca
0.4627 0.7500 0.6254 Ca
0.5373 0.2500 0.3746 Ca
0.6749 0.0609 0.8489 Ca
0.6749 0.4391 0.8489 Ca
0.8251 0.5609 0.3489 Ca
0.8251 0.9391 0.3489 Ca
0.9627 0.7500 0.8746 Ca
0.1258 0.7500 0.4399 Fe
0.3742 0.2500 0.9399 Fe
0.6258 0.7500 0.0601 Fe
0.8742 0.2500 0.5601 Fe
```

Principal peaks in the range 2θ = 10–90°, by angle:
19.87 deg, rel. 39; 29.04 deg, rel. 47; 31.12 deg, rel. 100; 32.21 deg, rel. 75; 33.02 deg, rel. 90; 35.13 deg, rel. 51; 35.85 deg, rel. 51; 36.53 deg, rel. 56

=====

# 2
Structure and calculated X-ray diffraction stick pattern of CaGa9Fe2 (the PBE geometry in Alexandria; CuKα).

Structure:
```
CaGa9Fe2
1.0
-5.4125 5.4125 3.3555
5.4125 -5.4125 3.3555
5.4125 5.4125 -3.3555
Ca Ga Fe
2 18 4
direct
0.3750 0.6250 0.7500 Ca
0.6250 0.3750 0.2500 Ca
0.1250 0.8750 0.2500 Ga
0.1284 0.5636 0.3225 Ga
0.1284 0.8059 0.5648 Ga
0.1941 0.2589 0.3225 Ga
0.1941 0.8716 0.9352 Ga
0.2589 0.1941 0.8225 Ga
0.2589 0.4364 0.0648 Ga
0.4364 0.2589 0.5648 Ga
0.4364 0.8716 0.1775 Ga
0.5636 0.1284 0.8225 Ga
0.5636 0.7411 0.4352 Ga
0.7411 0.5636 0.9352 Ga
0.7411 0.8059 0.1775 Ga
0.8059 0.1284 0.0648 Ga
0.8059 0.7411 0.6775 Ga
0.8716 0.1941 0.4352 Ga
0.8716 0.4364 0.6775 Ga
0.8750 0.1250 0.7500 Ga
0.0000 0.0000 0.0000 Fe
0.0000 0.0000 0.5000 Fe
0.0000 0.5000 0.0000 Fe
0.5000 0.0000 0.5000 Fe
```

Principal peaks in the range 2θ = 10–90°, by angle:
15.54 deg, rel. 28; 37.14 deg, rel. 46; 37.53 deg, rel. 70; 41.21 deg, rel. 22; 43.94 deg, rel. 100; 44.62 deg, rel. 29; 46.25 deg, rel. 30; 71.69 deg, rel. 22